# 1
Simulated X-ray diffraction stick pattern of SrGdCoO4 for a wavelength of 1.5418 Å, from a cell relaxed with GGA+U.
No peak broadening, texture or thermal motion is included.

```
SrGdCoO4
1.0
-1.891 1.891 6.070
1.891 -1.891 6.070
1.891 1.891 -6.070
Sr Gd Co O
1 1 1 4
direct
0.000 0.000 0.000
0.720 0.720 0.000
0.362 0.362 0.000
0.198 0.198 0.000
0.345 0.845 0.500
0.529 0.529 0.000
0.845 0.345 0.500
```

Main lines, low angle first (2θ = 10–80°):
14.59 deg, rel. 18; 24.66 deg, rel. 27; 32.41 deg, rel. 100; 33.52 deg, rel. 72; 44.34 deg, rel. 18; 45.20 deg, rel. 30; 48.13 deg, rel. 37; 59.22 deg, rel. 37

=====

# 2
Simulated X-ray diffraction stick pattern of Li2CrFe3O8 for a wavelength of 1.5418 Å, from a cell relaxed with GGA+U.
No peak broadening, texture or thermal motion is included.

```
Li2CrFe3O8
1.0
8.425 0.000 0.000
0.043 8.427 0.000
0.016 0.010 8.452
Li Cr Fe O
8 4 12 32
direct
0.000 0.000 0.000
0.001 0.499 0.500
0.250 0.748 0.748
0.251 0.247 0.247
0.503 0.499 0.000
0.503 0.999 0.499
0.749 0.748 0.247
0.751 0.246 0.747
0.125 0.373 0.875
0.375 0.623 0.373
0.628 0.123 0.123
0.873 0.875 0.623
0.124 0.121 0.626
0.124 0.871 0.374
0.125 0.623 0.125
0.377 0.125 0.877
0.378 0.372 0.624
0.380 0.878 0.125
0.627 0.375 0.372
0.627 0.876 0.875
0.628 0.627 0.620
0.872 0.370 0.124
0.875 0.122 0.373
0.876 0.623 0.873
0.103 0.881 0.616
0.105 0.116 0.386
0.118 0.601 0.883
0.121 0.378 0.093
0.131 0.369 0.655
0.134 0.146 0.867
0.141 0.858 0.134
0.147 0.628 0.366
0.354 0.368 0.865
0.359 0.137 0.634
0.365 0.852 0.368
0.370 0.627 0.155
0.380 0.619 0.593
0.383 0.395 0.382
0.390 0.114 0.115
0.393 0.881 0.884
0.604 0.616 0.381
0.614 0.390 0.612
0.616 0.884 0.112
0.617 0.106 0.884
0.634 0.643 0.860
0.637 0.362 0.133
0.646 0.134 0.363
0.646 0.868 0.633
0.861 0.864 0.860
0.867 0.137 0.135
0.869 0.359 0.364
0.869 0.645 0.632
0.883 0.104 0.613
0.885 0.886 0.387
0.889 0.606 0.114
0.897 0.382 0.880
```

Main lines, low angle first (2θ = 10–80°):
18.22 deg, rel. 100; 35.25 deg, rel. 28; 35.35 deg, rel. 20; 42.79 deg, rel. 19; 42.93 deg, rel. 37; 56.82 deg, rel. 7; 62.17 deg, rel. 17; 62.28 deg, rel. 11

=====

# 3
Simulated X-ray diffraction stick pattern of TiV2CrO10 for a wavelength of 1.5418 Å, from a cell relaxed with GGA+U.
No peak broadening, texture or thermal motion is included.

```
TiV2CrO10
1.0
6.649 0.000 0.000
0.000 6.649 0.000
0.000 0.000 4.456
Ti V Cr O
1 2 1 10
direct
0.000 0.000 0.000
0.000 0.500 0.120
0.500 0.000 0.880
0.500 0.500 0.000
0.000 0.233 0.222
0.000 0.500 0.757
0.000 0.767 0.222
0.233 0.000 0.778
0.295 0.500 0.214
0.500 0.000 0.243
0.500 0.295 0.786
0.500 0.705 0.786
0.705 0.500 0.214
0.767 0.000 0.778
```

Main lines, low angle first (2θ = 10–80°):
19.93 deg, rel. 75; 24.04 deg, rel. 37; 26.82 deg, rel. 100; 33.63 deg, rel. 57; 43.53 deg, rel. 20; 45.72 deg, rel. 12; 55.26 deg, rel. 21; 66.27 deg, rel. 13

=====

# 4
Simulated X-ray diffraction stick pattern of Fe4O3F5 for a wavelength of 1.5418 Å, from a cell relaxed with GGA+U.
No peak broadening, texture or thermal motion is included.

```
Fe4O3F5
1.0
4.792 -3.089 0.000
4.792 3.089 0.000
-0.360 0.000 4.786
Fe O F
4 3 5
direct
0.000 0.000 0.000
0.504 0.504 0.005
0.505 0.983 0.487
0.983 0.505 0.487
0.153 0.153 0.299
0.650 0.650 0.308
0.849 0.849 0.700
0.139 0.657 0.197
0.338 0.862 0.795
0.349 0.349 0.692
0.657 0.139 0.197
0.862 0.338 0.795
```

Main lines, low angle first (2θ = 10–80°):
25.33 deg, rel. 95; 27.34 deg, rel. 90; 34.57 deg, rel. 100; 50.86 deg, rel. 64; 52.02 deg, rel. 21; 53.13 deg, rel. 52; 65.89 deg, rel. 21; 66.02 deg, rel. 30

=====

# 5
Simulated X-ray diffraction stick pattern of Fe3As2O16 for a wavelength of 1.5418 Å, from a cell relaxed with GGA+U.
No peak broadening, texture or thermal motion is included.

```
Fe3As2O16
1.0
4.925 0.000 0.000
1.384 7.923 0.000
0.411 2.501 8.864
Fe As O
3 2 16
direct
0.000 0.000 0.000
0.459 0.624 0.598
0.541 0.376 0.402
0.008 0.685 0.336
0.992 0.315 0.664
0.110 0.146 0.817
0.146 0.763 0.466
0.228 0.527 0.276
0.294 0.398 0.590
0.329 0.746 0.766
0.362 0.991 0.114
0.407 0.865 0.050
0.493 0.167 0.320
0.507 0.833 0.680
0.593 0.135 0.950
0.638 0.009 0.886
0.671 0.254 0.234
0.706 0.602 0.410
0.772 0.473 0.724
0.854 0.237 0.534
0.890 0.854 0.183
```

Main lines, low angle first (2θ = 10–80°):
13.10 deg, rel. 100; 17.28 deg, rel. 16; 20.93 deg, rel. 15; 23.76 deg, rel. 16; 24.08 deg, rel. 15; 30.63 deg, rel. 14; 31.24 deg, rel. 12; 33.02 deg, rel. 13

=====

# 6
Simulated X-ray diffraction stick pattern of Li2VOF4 for a wavelength of 1.5418 Å, from a cell relaxed with GGA+U.
No peak broadening, texture or thermal motion is included.

```
Li2VOF4
1.0
6.744 0.000 0.000
0.000 3.735 0.000
-0.205 0.000 14.707
Li V O F
8 4 4 16
direct
0.000 0.000 0.000
0.103 0.000 0.413
0.252 0.500 0.908
0.370 0.500 0.514
0.484 0.000 0.778
0.615 0.000 0.387
0.739 0.500 0.886
0.862 0.500 0.275
0.024 0.000 0.709
0.318 0.500 0.215
0.550 0.000 0.075
0.829 0.500 0.575
0.357 0.000 0.191
0.760 0.000 0.133
0.875 0.000 0.593
0.980 0.500 0.688
0.061 0.500 0.500
0.068 0.500 0.161
0.170 0.000 0.821
0.187 0.500 0.324
0.273 0.000 0.659
0.296 0.000 0.997
0.370 0.000 0.455
0.472 0.500 0.084
0.482 0.500 0.831
0.563 0.500 0.283
0.580 0.500 0.623
0.679 0.000 0.957
0.682 0.500 0.461
0.791 0.000 0.780
0.874 0.000 0.336
0.985 0.500 0.951
```

Main lines, low angle first (2θ = 10–80°):
12.04 deg, rel. 73; 14.37 deg, rel. 92; 14.53 deg, rel. 100; 24.59 deg, rel. 33; 27.97 deg, rel. 73; 29.85 deg, rel. 31; 30.05 deg, rel. 99; 48.76 deg, rel. 57

=====

# 7
Simulated X-ray diffraction stick pattern of Ba6Sr2CoCu7O24 for a wavelength of 1.5418 Å, from a cell relaxed with GGA+U.
No peak broadening, texture or thermal motion is included.

```
Ba6Sr2CoCu7O24
1.0
7.970 0.000 0.000
0.000 5.654 5.641
0.000 -5.654 5.641
Ba Sr Co Cu O
6 2 1 7 24
direct
0.250 0.000 0.000
0.250 0.000 0.504
0.250 0.504 0.000
0.750 0.000 0.000
0.750 0.000 0.504
0.750 0.504 0.000
0.249 0.505 0.505
0.751 0.505 0.505
0.500 0.256 0.256
0.000 0.252 0.252
0.000 0.252 0.752
0.000 0.752 0.252
0.000 0.752 0.752
0.500 0.253 0.752
0.500 0.752 0.253
0.500 0.752 0.752
0.000 0.002 0.750
0.000 0.004 0.254
0.000 0.254 0.004
0.000 0.264 0.500
0.000 0.500 0.264
0.000 0.502 0.740
0.000 0.740 0.502
0.000 0.750 0.002
0.249 0.744 0.744
0.251 0.260 0.745
0.251 0.745 0.260
0.257 0.257 0.257
0.500 0.004 0.751
0.500 0.011 0.254
0.500 0.254 0.011
0.500 0.260 0.495
0.500 0.495 0.260
0.500 0.500 0.739
0.500 0.739 0.500
0.500 0.751 0.004
0.743 0.257 0.257
0.749 0.260 0.745
0.749 0.745 0.260
0.751 0.744 0.744
```

Main lines, low angle first (2θ = 10–80°):
31.71 deg, rel. 100; 39.10 deg, rel. 13; 45.42 deg, rel. 22; 45.53 deg, rel. 11; 56.47 deg, rel. 32; 56.55 deg, rel. 6; 66.27 deg, rel. 16; 75.24 deg, rel. 8